Theoretical PXRD pattern of Sm3GaO6 for Cu Kα, 1.54184 Å, from a cell relaxed with PBE.

Cell and atoms:
```
data_Sm3GaO6
_chemical_formula_sum 'Sm12 Ga4 O24'
_cell_length_a 9.1474
_cell_length_b 11.4665
_cell_length_c 5.5679
_cell_angle_alpha 90.00
_cell_angle_beta 90.00
_cell_angle_gamma 90.00
_symmetry_space_group_name_H-M 'C m c 21'
_symmetry_Int_Tables_number 36
loop_
_symmetry_equiv_pos_as_xyz
'x,y,z'
'-x,-y,z+1/2'
'-x,y,z'
'x,-y,z+1/2'
'x+1/2,y+1/2,z'
'-x+1/2,-y+1/2,z+1/2'
'-x+1/2,y+1/2,z'
'x+1/2,-y+1/2,z+1/2'
loop_
_atom_site_label
_atom_site_type_symbol
_atom_site_fract_x
_atom_site_fract_y
_atom_site_fract_z
Sm1 Sm 0.0000 0.1028 0.0000
Sm2 Sm 0.1932 0.3942 0.9544
Ga1 Ga 0.0000 0.3070 0.4218
O1 O 0.0000 0.2849 0.7531
O2 O 0.0000 0.4589 0.2877
O3 O 0.1556 0.2375 0.2495
O4 O 0.1598 0.0144 0.7254
```

Largest 6 diffraction maxima, most intense first, 2θ from 15° to 90°:
2θ = 29.7°, I 100.0, (2 2 1)
2θ = 30.0°, I 39.9, (1 3 1)
2θ = 49.8°, I 22.9, (3 5 0)
2θ = 44.8°, I 22.5, (3 1 2)
2θ = 32.2°, I 20.2, (0 0 2)
2θ = 45.4°, I 18.1, (0 4 2)